(1)
Structure and simulated PXRD pattern of ZrNpCoOs (a cell relaxed with GGA-PBE; CuKα).

Largest 10 diffraction maxima, low angle first, 10 to 90 degrees two-theta:
d = 3.809 Å, I 24
d = 3.299 Å, I 2
d = 2.332 Å, I 100
d = 1.989 Å, I 14
d = 1.649 Å, I 17
d = 1.513 Å, I 6
d = 1.347 Å, I 35
d = 1.270 Å, I 5
d = 1.166 Å, I 11
d = 1.115 Å, I 5

Structure:
Cell: 4.6648 4.6648 4.6648 Å, 60.00 60.00 60.00°
Element x y z (fractional)
Zr: 0.0000 0.0000 0.0000
Np: 0.5000 0.5000 0.5000
Co: 0.2500 0.2500 0.2500
Os: 0.7500 0.7500 0.7500

(2)
Structure and simulated PXRD pattern of NpCo4P2 (a cell relaxed with GGA-PBE; CuKα).

Largest 10 diffraction maxima, low angle first, 10 to 90 degrees two-theta:
d = 4.976 Å, I 20
d = 3.519 Å, I 23
d = 3.175 Å, I 35
d = 2.488 Å, I 16
d = 2.357 Å, I 100
d = 2.225 Å, I 46
d = 1.779 Å, I 15
d = 1.539 Å, I 18
d = 1.389 Å, I 20
d = 1.309 Å, I 23

Structure:
Cell: 7.0373 7.0373 3.5575 Å, 90.00 90.00 90.00°
Element x y z (fractional)
Np: 0.0000 0.0000 0.0000
Np: 0.5000 0.5000 0.5000
Co: 0.0843 0.3410 0.5000
Co: 0.1590 0.5843 0.0000
Co: 0.3410 0.0843 0.5000
Co: 0.4157 0.8410 0.0000
Co: 0.5843 0.1590 0.0000
Co: 0.6590 0.9157 0.5000
Co: 0.8410 0.4157 0.0000
Co: 0.9157 0.6590 0.5000
P: 0.2219 0.7781 0.5000
P: 0.2781 0.2781 0.0000
P: 0.7219 0.7219 0.0000
P: 0.7781 0.2219 0.5000

(3)
Structure and simulated PXRD pattern of NpCo4P4 (a cell relaxed with GGA-PBE; CuKα).

Largest 10 diffraction maxima, low angle first, 10 to 90 degrees two-theta:
d = 4.474 Å, I 31
d = 4.009 Å, I 19
d = 2.835 Å, I 18
d = 2.696 Å, I 31
d = 2.394 Å, I 100
d = 2.234 Å, I 51
d = 1.793 Å, I 14
d = 1.756 Å, I 15
d = 1.537 Å, I 16
d = 1.491 Å, I 15

Structure:
Cell: 5.6692 5.6692 7.2839 Å, 90.00 90.00 90.00°
Element x y z (fractional)
Np: 0.2500 0.7500 0.2500
Np: 0.7500 0.2500 0.7500
Co: 0.0270 0.2500 0.1352
Co: 0.2500 0.0270 0.6352
Co: 0.2500 0.4730 0.6352
Co: 0.4730 0.2500 0.1352
Co: 0.5270 0.7500 0.8648
Co: 0.7500 0.5270 0.3648
Co: 0.7500 0.9730 0.3648
Co: 0.9730 0.7500 0.8648
P: 0.0319 0.2500 0.4353
P: 0.2500 0.0319 0.9353
P: 0.2500 0.4681 0.9353
P: 0.4681 0.2500 0.4353
P: 0.5319 0.7500 0.5647
P: 0.7500 0.5319 0.0647
P: 0.7500 0.9681 0.0647
P: 0.9681 0.7500 0.5647

(4)
Structure and simulated PXRD pattern of Np2Co5P4 (a cell relaxed with GGA-PBE; CuKα).

Largest 10 diffraction maxima, low angle first, 10 to 90 degrees two-theta:
d = 4.236 Å, I 46
d = 3.112 Å, I 100
d = 2.662 Å, I 71
d = 2.602 Å, I 41
d = 2.331 Å, I 34
d = 2.263 Å, I 78
d = 2.241 Å, I 79
d = 2.007 Å, I 51
d = 1.623 Å, I 33
d = 1.520 Å, I 41

Structure:
Cell: 7.9884 6.9713 5.3170 Å, 79.86 59.21 40.93°
Element x y z (fractional)
Np: 0.1367 0.1367 0.8633
Np: 0.8633 0.8633 0.1367
Co: 0.0000 0.0000 0.5000
Co: 0.2500 0.2500 0.2500
Co: 0.5000 0.5000 0.0000
Co: 0.5000 0.5000 0.5000
Co: 0.7500 0.7500 0.7500
P: 0.2147 0.5270 0.4730
P: 0.4730 0.7853 0.2147
P: 0.5270 0.2147 0.7853
P: 0.7853 0.4730 0.5270

(5)
Structure and simulated PXRD pattern of NpPaCoS4 (a cell relaxed with GGA-PBE; CuKα).

Largest 10 diffraction maxima, low angle first, 10 to 90 degrees two-theta:
d = 4.166 Å, I 100
d = 3.047 Å, I 30
d = 3.033 Å, I 33
d = 3.018 Å, I 30
d = 2.878 Å, I 42
d = 2.728 Å, I 22
d = 2.487 Å, I 40
d = 2.465 Å, I 36
d = 2.083 Å, I 37
d = 1.570 Å, I 23

Structure:
Cell: 6.3009 5.7569 7.4961 Å, 90.00 106.67 90.00°
Element x y z (fractional)
Np: 0.2501 0.2500 0.0622
Np: 0.7499 0.7500 0.9378
Pa: 0.2451 0.2500 0.5570
Pa: 0.7549 0.7500 0.4430
Co: 0.2363 0.7500 0.3124
Co: 0.7637 0.2500 0.6876
S: 0.0187 0.5102 0.7569
S: 0.0187 0.9898 0.7569
S: 0.4202 0.7500 0.6055
S: 0.4309 0.7500 0.1144
S: 0.5691 0.2500 0.8856
S: 0.5798 0.2500 0.3945
S: 0.9813 0.0102 0.2431
S: 0.9813 0.4898 0.2431

(6)
Structure and simulated PXRD pattern of Pr4NpCo5 (a cell relaxed with GGA-PBE; CuKα).

Largest 10 diffraction maxima, low angle first, 10 to 90 degrees two-theta:
d = 6.565 Å, I 38
d = 3.180 Å, I 100
d = 2.936 Å, I 21
d = 2.623 Å, I 69
d = 2.472 Å, I 32
d = 2.321 Å, I 24
d = 2.284 Å, I 26
d = 2.188 Å, I 48
d = 1.639 Å, I 24
d = 1.628 Å, I 32

Structure:
Cell: 7.0151 7.0151 7.0151 Å, 97.14 97.12 138.74°
Element x y z (fractional)
Pr: 0.2097 0.0000 0.2097
Pr: 0.5000 0.2907 0.7907
Pr: 0.5000 0.7093 0.2093
Pr: 0.7903 0.0000 0.7903
Np: 0.1099 0.6099 0.5000
Co: 0.1581 0.3244 0.4992
Co: 0.1581 0.6589 0.8337
Co: 0.6195 0.1195 0.5000
Co: 0.8252 0.3244 0.1663
Co: 0.8252 0.6589 0.5008

(7)
Structure and simulated PXRD pattern of TbNpCo10 (a cell relaxed with GGA-PBE; CuKα).

Largest 10 diffraction maxima, low angle first, 10 to 90 degrees two-theta:
d = 2.899 Å, I 72
d = 2.888 Å, I 33
d = 2.428 Å, I 36
d = 2.113 Å, I 37
d = 2.097 Å, I 21
d = 2.085 Å, I 52
d = 2.073 Å, I 100
d = 1.992 Å, I 40
d = 1.450 Å, I 22
d = 1.328 Å, I 23

Structure:
Cell: 3.9837 4.8938 8.3874 Å, 90.00 90.00 90.00°
Element x y z (fractional)
Tb: 0.0000 0.0000 0.0000
Np: 0.0000 0.5000 0.5000
Co: 0.0000 0.0000 0.3445
Co: 0.0000 0.0000 0.6555
Co: 0.0000 0.5000 0.1865
Co: 0.0000 0.5000 0.8135
Co: 0.5000 0.0000 0.5000
Co: 0.5000 0.2480 0.2506
Co: 0.5000 0.2480 0.7494
Co: 0.5000 0.5000 0.0000
Co: 0.5000 0.7520 0.2506
Co: 0.5000 0.7520 0.7494

(8)
Structure and simulated PXRD pattern of TbNp2Co9 (a cell relaxed with GGA-PBE; CuKα).

Largest 10 diffraction maxima, low angle first, 10 to 90 degrees two-theta:
d = 8.158 Å, I 25
d = 4.157 Å, I 26
d = 2.692 Å, I 72
d = 2.476 Å, I 47
d = 2.435 Å, I 70
d = 2.101 Å, I 41
d = 2.091 Å, I 100
d = 1.451 Å, I 23
d = 1.329 Å, I 22
d = 1.218 Å, I 23

Structure:
Cell: 8.6289 8.6289 8.6289 Å, 32.79 32.79 32.79°
Element x y z (fractional)
Tb: 0.0000 0.0000 0.0000
Np: 0.1406 0.1406 0.1406
Np: 0.8594 0.8594 0.8594
Co: 0.0827 0.5817 0.5817
Co: 0.3329 0.3329 0.3329
Co: 0.4183 0.4183 0.9173
Co: 0.4183 0.9173 0.4183
Co: 0.5000 0.5000 0.5000
Co: 0.5817 0.0827 0.5817
Co: 0.5817 0.5817 0.0827
Co: 0.6671 0.6671 0.6671
Co: 0.9173 0.4183 0.4183

(9)
Structure and simulated PXRD pattern of TmNp2Co9 (a cell relaxed with GGA-PBE; CuKα).

Largest 10 diffraction maxima, low angle first, 10 to 90 degrees two-theta:
d = 4.140 Å, I 28
d = 2.687 Å, I 74
d = 2.473 Å, I 49
d = 2.425 Å, I 70
d = 2.093 Å, I 41
d = 2.085 Å, I 100
d = 1.446 Å, I 23
d = 1.401 Å, I 22
d = 1.324 Å, I 22
d = 1.213 Å, I 23

Structure:
Cell: 8.6252 8.6252 8.6252 Å, 32.66 32.66 32.66°
Element x y z (fractional)
Tm: 0.0000 0.0000 0.0000
Np: 0.1405 0.1405 0.1405
Np: 0.8595 0.8595 0.8595
Co: 0.0825 0.5812 0.5812
Co: 0.3328 0.3328 0.3328
Co: 0.4188 0.4188 0.9175
Co: 0.4188 0.9175 0.4188
Co: 0.5000 0.5000 0.5000
Co: 0.5812 0.0825 0.5812
Co: 0.5812 0.5812 0.0825
Co: 0.6672 0.6672 0.6672
Co: 0.9175 0.4188 0.4188

(10)
Structure and simulated PXRD pattern of NpZn3Co6 (a cell relaxed with GGA-PBE; CuKα).

Largest 10 diffraction maxima, low angle first, 10 to 90 degrees two-theta:
d = 6.469 Å, I 37
d = 3.545 Å, I 58
d = 2.571 Å, I 71
d = 2.447 Å, I 33
d = 2.119 Å, I 70
d = 2.014 Å, I 53
d = 1.952 Å, I 100
d = 1.922 Å, I 38
d = 1.436 Å, I 24
d = 1.105 Å, I 28

Structure:
Cell: 4.8943 4.8943 6.4688 Å, 90.00 90.00 120.00°
Element x y z (fractional)
Np: 0.0000 0.0000 0.0000
Zn: 0.0000 0.0000 0.5000
Zn: 0.3333 0.6667 0.5000
Zn: 0.6667 0.3333 0.5000
Co: 0.0000 0.4554 0.8197
Co: 0.0000 0.5446 0.1803
Co: 0.4554 0.0000 0.8197
Co: 0.4554 0.4554 0.1803
Co: 0.5446 0.0000 0.1803
Co: 0.5446 0.5446 0.8197

(11)
Structure and simulated PXRD pattern of NpZn8Co4 (a cell relaxed with GGA-PBE; CuKα).

Largest 10 diffraction maxima, low angle first, 10 to 90 degrees two-theta:
d = 3.056 Å, I 42
d = 2.747 Å, I 23
d = 2.499 Å, I 55
d = 2.475 Å, I 21
d = 2.172 Å, I 59
d = 2.166 Å, I 100
d = 2.150 Å, I 60
d = 1.927 Å, I 21
d = 1.361 Å, I 22
d = 1.253 Å, I 27

Structure:
Cell: 6.6224 6.6224 6.6224 Å, 98.03 98.03 136.11°
Element x y z (fractional)
Np: 0.0000 0.0000 0.0000
Zn: 0.0000 0.3414 0.3414
Zn: 0.0000 0.6586 0.6586
Zn: 0.2748 0.5000 0.7748
Zn: 0.3414 0.0000 0.3414
Zn: 0.5000 0.2748 0.7748
Zn: 0.5000 0.7252 0.2252
Zn: 0.6586 0.0000 0.6586
Zn: 0.7252 0.5000 0.2252
Co: 0.0000 0.0000 0.5000
Co: 0.0000 0.5000 0.0000
Co: 0.5000 0.0000 0.0000
Co: 0.5000 0.5000 0.5000

(12)
Structure and simulated PXRD pattern of NpZn11Co (a cell relaxed with GGA-PBE; CuKα).

Largest 10 diffraction maxima, low angle first, 10 to 90 degrees two-theta:
d = 4.372 Å, I 21
d = 3.132 Å, I 29
d = 3.120 Å, I 30
d = 2.562 Å, I 84
d = 2.506 Å, I 26
d = 2.236 Å, I 82
d = 2.229 Å, I 76
d = 2.216 Å, I 84
d = 2.186 Å, I 100
d = 1.281 Å, I 32

Structure:
Cell: 6.8249 6.8249 6.7765 Å, 97.78 97.78 136.92°
Element x y z (fractional)
Np: 0.0000 0.0000 0.0000
Zn: 0.0000 0.5000 0.0000
Zn: 0.0083 0.6668 0.6404
Zn: 0.2770 0.4891 0.7799
Zn: 0.3332 0.9917 0.3596
Zn: 0.4891 0.2770 0.7799
Zn: 0.5000 0.0000 0.0000
Zn: 0.5000 0.5000 0.5000
Zn: 0.5109 0.7230 0.2201
Zn: 0.6668 0.0083 0.6404
Zn: 0.7230 0.5109 0.2201
Zn: 0.9917 0.3332 0.3596
Co: 0.0000 0.0000 0.5000

(13)
Structure and simulated PXRD pattern of Zr3NpCo8 (a cell relaxed with GGA-PBE; CuKα).

Largest 10 diffraction maxima, low angle first, 10 to 90 degrees two-theta:
d = 8.008 Å, I 10
d = 4.186 Å, I 7
d = 4.006 Å, I 10
d = 2.453 Å, I 55
d = 2.092 Å, I 100
d = 2.003 Å, I 20
d = 1.416 Å, I 20
d = 1.335 Å, I 30
d = 1.227 Å, I 22
d = 1.097 Å, I 9

Structure:
Cell: 8.4944 8.4944 8.4944 Å, 33.59 33.59 33.59°
Element x y z (fractional)
Zr: 0.0000 0.0000 0.0000
Zr: 0.1251 0.1251 0.1251
Zr: 0.6255 0.6255 0.6255
Np: 0.4998 0.4998 0.4998
Co: 0.0617 0.5619 0.5619
Co: 0.0627 0.0627 0.5629
Co: 0.0627 0.5629 0.0627
Co: 0.3124 0.3124 0.3124
Co: 0.5619 0.0617 0.5619
Co: 0.5619 0.5619 0.0617
Co: 0.5629 0.0627 0.0627
Co: 0.8123 0.8123 0.8123